# 1
The following is a calculated powder diffraction line list of Ce6MnPb2. It was derived from a structure optimized by DFT (GGA-PBE), using Cu Kα.
Kinematic intensities with the Lorentz-polarization factor, no thermal factor.

Most intense lines, 5° ≤ 2θ ≤ 70°, sorted by position:
2θ/deg	d [Å]	I_rel
25.44	3.502	5
25.80	3.454	3
30.27	2.953	4
31.43	2.846	100
35.75	2.512	22
36.80	2.442	38
40.18	2.244	4
52.25	1.751	27
53.03	1.727	12
61.55	1.507	14
62.96	1.476	23
65.61	1.423	13

Crystal structure
```
9
Lattice="-3.4514 3.4557 5.0233 3.4514 -3.4557 5.0233 3.4514 3.4557 -5.0233" Properties=species:S:1:pos:R:3 pbc="T T T"
Ce 0.0000 0.0000 2.3739
Ce 1.8999 1.8895 0.0000
Ce 5.0029 1.8895 0.0000
Ce -1.5515 1.5662 5.0233
Ce 1.5515 1.5662 5.0233
Ce 0.0000 0.0000 7.6727
Mn 0.0000 0.0000 0.0000
Pb 3.4514 0.0000 2.5182
Pb 0.0000 3.4557 2.5051
```

---

# 2
The following is a calculated powder diffraction line list of Ce3MnPd12. It was derived from a structure optimized by DFT (GGA-PBE), using Cu Kα.
Kinematic intensities with the Lorentz-polarization factor, no thermal factor.

Most intense lines, 5° ≤ 2θ ≤ 70°, sorted by position:
2θ/deg	d [Å]	I_rel
5.45	16.222	1
22.24	3.997	1
24.21	3.677	1
27.19	3.279	1
34.95	2.567	2
38.00	2.368	100
38.86	2.317	1
43.90	2.062	34
44.69	2.028	15
60.05	1.541	2
63.83	1.458	11
64.44	1.446	19

Crystal structure
```
16
Lattice="4.1246 0.0000 0.0000 0.0000 4.1246 0.0000 0.0000 0.0000 16.2224" Properties=species:S:1:pos:R:3 pbc="T T T"
Ce 0.0000 0.0000 0.0000
Ce 0.0000 0.0000 4.2324
Ce 0.0000 0.0000 11.9899
Mn 0.0000 0.0000 8.1112
Pd 0.0000 2.0623 2.0852
Pd 0.0000 2.0623 6.2131
Pd 0.0000 2.0623 10.0093
Pd 0.0000 2.0623 14.1372
Pd 2.0623 0.0000 2.0852
Pd 2.0623 0.0000 6.2131
Pd 2.0623 0.0000 10.0093
Pd 2.0623 0.0000 14.1372
Pd 2.0623 2.0623 0.0000
Pd 2.0623 2.0623 4.1439
Pd 2.0623 2.0623 8.1112
Pd 2.0623 2.0623 12.0785
```